1.
This entry pairs a crystal structure of Ac3Sn with its theoretical X-ray powder pattern. Radiation: Cu Ka. Structure: the GGA-PBE geometry in the Materials Project.
Kinematic intensities with the Lorentz-polarization factor, no thermal factor.

Peak list (10 most intense, 10 to 90 degrees two-theta, by intensity)
29.04°, I = 100
33.65°, I = 51
57.38°, I = 46
48.33°, I = 38
78.23°, I = 19
80.68°, I = 18
60.18°, I = 13
70.75°, I = 6
16.64°, I = 4
23.62°, I = 4

Atomic structure:
```
4
Lattice="5.326 0.000 0.000 0.000 5.326 0.000 0.000 0.000 5.326" Properties=species:S:1:pos:R:3 pbc="T T T"
Ac 0.000 0.000 2.663
Ac 0.000 2.663 0.000
Ac 2.663 0.000 0.000
Sn 2.663 2.663 2.663
```



2.
This entry pairs a crystal structure of Zr5CdPb3 with its theoretical X-ray powder pattern. Radiation: Cu Ka. Structure: the GGA-PBE geometry in the Materials Project.
Kinematic intensities with the Lorentz-polarization factor, no thermal factor.

Peak list (10 most intense, 10 to 90 degrees two-theta, by intensity)
35.89°, I = 100
34.83°, I = 99
34.09°, I = 59
24.80°, I = 35
44.87°, I = 30
50.88°, I = 25
72.51°, I = 23
65.79°, I = 21
63.14°, I = 20
29.55°, I = 19

Atomic structure:
```
18
Lattice="8.922 0.000 0.000 -4.461 7.727 0.000 0.000 0.000 6.046" Properties=species:S:1:pos:R:3 pbc="T T T"
Zr -1.245 2.157 1.511
Zr -3.216 5.570 4.534
Zr 2.490 0.000 1.511
Zr 1.245 2.157 4.534
Zr 0.000 5.151 0.000
Zr 0.000 5.151 3.023
Zr 4.461 2.576 0.000
Zr 4.461 2.576 3.023
Zr 6.432 0.000 4.534
Zr 3.216 5.570 1.511
Cd 0.000 0.000 0.000
Cd 0.000 0.000 3.023
Pb -1.695 2.936 4.534
Pb -2.766 4.791 1.511
Pb 3.390 0.000 4.534
Pb 1.695 2.936 1.511
Pb 5.532 0.000 1.511
Pb 2.766 4.791 4.534
```



3.
This entry pairs a crystal structure of Rb2In4O7 with its theoretical X-ray powder pattern. Radiation: Cu Ka. Structure: the GGA-PBE geometry in the Materials Project.
Kinematic intensities with the Lorentz-polarization factor, no thermal factor.

Peak list (10 most intense, 10 to 90 degrees two-theta, by intensity)
31.18°, I = 100
29.95°, I = 98
43.78°, I = 36
54.72°, I = 36
59.07°, I = 33
55.48°, I = 27
11.86°, I = 16
39.63°, I = 15
73.21°, I = 14
76.99°, I = 12

Atomic structure:
```
13
Lattice="5.738 0.000 0.000 -2.869 4.969 0.000 0.000 0.000 7.462" Properties=species:S:1:pos:R:3 pbc="T T T"
Rb 0.000 3.313 0.000
Rb 2.869 1.656 0.000
In 0.000 0.000 2.060
In 0.000 0.000 5.401
In 0.000 3.313 3.731
In 2.869 1.656 3.731
O 0.000 0.000 0.000
O -1.026 1.778 4.964
O -1.843 3.191 2.498
O 2.053 0.000 4.964
O 1.026 1.778 2.498
O 3.685 0.000 2.498
O 1.843 3.191 4.964
```